Computed powder diffraction line list of MgZn4Co6O16 for λ = 1.5418 Å (Cu Kα), from the PBE+U geometry in Alexandria.
No peak broadening, texture or thermal motion is included.

The 10 most intense peaks (10 to 90 degrees two-theta), by angle:
2θ/deg  d_spacing  I/Imax
18.59  4.772  34.1
25.85  3.447  59.8
31.08  2.878  25.1
33.41  2.682  100.0
36.04  2.492  26.8
36.45  2.465  96.0
37.29  2.411  84.7
56.77  1.622  38.1
61.12  1.516  48.0
64.74  1.440  38.2

Atomic structure:
a b c (Å): 5.747 5.759 9.545
angles (deg): 89.97 89.90 60.07
Space group P1 (No. 1)
Unique sites:
Mg  0.000  0.000  0.000
Zn  0.334  0.327  0.900
Zn  0.336  0.325  0.497
Zn  0.663  0.669  0.392
Zn  0.669  0.660  0.007
Co  0.166  0.166  0.225
Co  0.167  0.664  0.225
Co  0.333  0.827  0.708
Co  0.665  0.166  0.225
Co  0.835  0.325  0.708
Co  0.835  0.827  0.709
O  0.000  0.996  0.323
O  0.001  0.993  0.805
O  0.035  0.483  0.335
O  0.159  0.151  0.614
O  0.159  0.679  0.613
O  0.317  0.836  0.116
O  0.334  0.330  0.114
O  0.479  0.038  0.338
O  0.479  0.483  0.335
O  0.519  0.512  0.825
O  0.519  0.956  0.827
O  0.668  0.659  0.607
O  0.687  0.151  0.613
O  0.842  0.315  0.113
O  0.846  0.836  0.116
O  0.964  0.512  0.825